Structure and computed XRD peak list of Ce2CrN3 (a DFT-relaxed cell (GGA-PBE, Alexandria); a wavelength of 1.5418 Å).
No peak broadening, texture or thermal motion is included.

Largest 8 diffraction maxima, in order of rising 2θ, 2θ = 10–90°:
| 2θ (°) | d_spacing | intensity |
| --- | --- | --- |
| 24.8 | 3.585 | 26 |
| 28.4 | 3.146 | 25 |
| 32.1 | 2.792 | 80 |
| 33.6 | 2.669 | 86 |
| 35.3 | 2.539 | 100 |
| 45.9 | 1.976 | 35 |
| 56.9 | 1.617 | 30 |
| 60.4 | 1.531 | 31 |

Cell and atoms:
a b c (Å): 3.459 3.740 12.586
angles (deg): 90.00 90.00 90.00
Positions (direct):
Ce 0.000 0.000 0.147
Ce 0.000 0.000 0.853
Ce 0.500 0.500 0.353
Ce 0.500 0.500 0.647
Cr 0.000 0.000 0.500
Cr 0.500 0.500 0.000
N 0.000 0.000 0.336
N 0.000 0.000 0.664
N 0.000 0.500 0.500
N 0.500 0.000 0.000
N 0.500 0.500 0.164
N 0.500 0.500 0.836

Structure and computed XRD peak list of MnInGaS4 (a DFT-relaxed cell (GGA-PBE, Alexandria); a wavelength of 1.5418 Å).
No peak broadening, texture or thermal motion is included.

Largest 8 diffraction maxima, in order of rising 2θ, 2θ = 10–90°:
| 2θ (°) | d_spacing | intensity |
| --- | --- | --- |
| 20.8 | 4.266 | 100 |
| 27.0 | 3.296 | 52 |
| 27.4 | 3.261 | 68 |
| 28.5 | 3.128 | 95 |
| 32.9 | 2.724 | 88 |
| 41.0 | 2.203 | 56 |
| 47.6 | 1.910 | 86 |
| 48.8 | 1.865 | 67 |

Cell and atoms:
a b c (Å): 12.988 12.988 12.988
angles (deg): 16.92 16.92 16.92
Positions (direct):
Mn 0.000 0.000 0.000
In 0.528 0.528 0.528
Ga 0.761 0.761 0.761
S 0.063 0.063 0.063
S 0.464 0.464 0.464
S 0.646 0.646 0.646
S 0.892 0.892 0.892

Structure and computed XRD peak list of PmZr2Tc9 (a DFT-relaxed cell (GGA-PBE, Alexandria); a wavelength of 1.5418 Å).
No peak broadening, texture or thermal motion is included.

Largest 8 diffraction maxima, in order of rising 2θ, 2θ = 10–90°:
| 2θ (°) | d_spacing | intensity |
| --- | --- | --- |
| 33.8 | 2.653 | 18 |
| 33.9 | 2.644 | 23 |
| 39.5 | 2.281 | 26 |
| 39.9 | 2.258 | 100 |
| 41.6 | 2.170 | 22 |
| 43.2 | 2.096 | 23 |
| 64.7 | 1.440 | 21 |
| 71.3 | 1.322 | 20 |

Cell and atoms:
a b c (Å): 9.201 9.201 9.201
angles (deg): 33.40 33.40 33.40
Positions (direct):
Pm 0.000 0.000 0.000
Zr 0.143 0.143 0.143
Zr 0.857 0.857 0.857
Tc 0.076 0.591 0.591
Tc 0.336 0.336 0.336
Tc 0.409 0.409 0.924
Tc 0.409 0.924 0.409
Tc 0.500 0.500 0.500
Tc 0.591 0.076 0.591
Tc 0.591 0.591 0.076
Tc 0.664 0.664 0.664
Tc 0.924 0.409 0.409